Entry 1:
The following is a simulated powder X-ray diffraction pattern of Fe3Te2C9O9. It was derived from a DFT-relaxed cell (PBE+U, the Materials Project), using Cu Ka.

The 10 most intense peaks (5 to 70 degrees two-theta), sorted by position:
2θ (°), I_rel
10.1, 100
11.5, 44
12.9, 22
13.6, 87
14.5, 30
15.2, 28
18.0, 31
30.5, 36
31.0, 23
32.5, 19

Crystal structure
Unit cell a=6.9721 b=9.3923 c=13.1616 alpha=94.83 beta=95.23 gamma=110.48
Atoms (fractional coordinates):
Fe 0.0705 0.2255 0.3382
Fe 0.2139 0.3103 0.1562
Fe 0.3733 0.6089 0.2545
Fe 0.6267 0.3911 0.7455
Fe 0.7861 0.6897 0.8438
Fe 0.9295 0.7745 0.6618
Te 0.0026 0.5637 0.7491
Te 0.4452 0.3888 0.3290
Te 0.5548 0.6112 0.6710
Te 0.9974 0.4363 0.2509
C 0.0040 0.8580 0.8897
C 0.0749 0.2934 0.4675
C 0.1471 0.0639 0.3543
C 0.1995 0.8870 0.6884
C 0.2271 0.4207 0.0531
C 0.2885 0.7297 0.1765
C 0.3666 0.3115 0.7753
C 0.3965 0.2314 0.1159
C 0.4077 0.7170 0.3759
C 0.5923 0.2830 0.6241
C 0.6035 0.7686 0.8841
C 0.6334 0.6885 0.2247
C 0.7115 0.2703 0.8235
C 0.7729 0.5793 0.9469
C 0.8005 0.1130 0.3116
C 0.8529 0.9361 0.6457
C 0.9251 0.7066 0.5325
C 0.9960 0.1420 0.1103
O 0.0777 0.3375 0.5531
O 0.1437 0.9670 0.9245
O 0.1887 0.9570 0.3662
O 0.1993 0.2529 0.7931
O 0.2302 0.4839 0.9804
O 0.2383 0.8107 0.1282
O 0.3746 0.9591 0.7035
O 0.4376 0.7873 0.4564
O 0.4874 0.8201 0.9137
O 0.5126 0.1799 0.0863
O 0.5624 0.2127 0.5436
O 0.6254 0.0409 0.2965
O 0.7617 0.1893 0.8718
O 0.7698 0.5161 0.0196
O 0.8007 0.7471 0.2069
O 0.8113 0.0430 0.6338
O 0.8563 0.0330 0.0755
O 0.9223 0.6625 0.4469

***

Entry 2:
The following is a simulated powder X-ray diffraction pattern of Mg2Nb2VO8. It was derived from a DFT-relaxed cell (PBE+U, the Materials Project), using Cu Ka.

The 10 most intense peaks (5 to 70 degrees two-theta), sorted by position:
2θ (°), I_rel
20.2, 44
22.9, 62
26.4, 48
26.5, 56
27.5, 53
32.3, 69
32.5, 66
34.3, 100
51.4, 35
61.3, 44

Crystal structure
Unit cell a=10.0945 b=10.0945 c=5.2344 alpha=90.48 beta=90.48 gamma=34.86
Atoms (fractional coordinates):
Mg 0.0853 0.3707 0.2533
Mg 0.3707 0.0853 0.7533
Mg 0.6293 0.9147 0.2467
Mg 0.9147 0.6293 0.7467
Nb 0.2157 0.5508 0.2452
Nb 0.4492 0.7843 0.2548
Nb 0.5508 0.2157 0.7452
Nb 0.7843 0.4492 0.7548
V 0.1490 0.8510 0.7500
V 0.8510 0.1490 0.2500
O 0.0459 0.3375 0.6157
O 0.0669 0.8150 0.0937
O 0.1850 0.9331 0.4063
O 0.2071 0.4174 0.9579
O 0.3163 0.5397 0.5814
O 0.3375 0.0459 0.1157
O 0.4174 0.2071 0.4579
O 0.4603 0.6837 0.9186
O 0.5397 0.3163 0.0814
O 0.5826 0.7929 0.5421
O 0.6625 0.9541 0.8843
O 0.6837 0.4603 0.4186
O 0.7929 0.5826 0.0421
O 0.8150 0.0669 0.5937
O 0.9331 0.1850 0.9063
O 0.9541 0.6625 0.3843

***

Entry 3:
The following is a simulated powder X-ray diffraction pattern of MgFe2Mo2Cl2O8. It was derived from a DFT-relaxed cell (PBE+U, the Materials Project), using Cu Ka.

The 10 most intense peaks (5 to 70 degrees two-theta), sorted by position:
2θ (°), I_rel
15.5, 51
20.3, 29
23.9, 68
24.3, 32
24.5, 33
26.0, 100
26.5, 95
36.3, 56
36.8, 44
53.5, 27

Crystal structure
Unit cell a=5.7349 b=6.7410 c=6.8530 alpha=91.82 beta=90.16 gamma=90.19
Atoms (fractional coordinates):
Mg 0.0000 0.0000 0.0000
Fe 0.2389 0.9984 0.5027
Fe 0.7678 0.4994 0.0049
Mo 0.4982 0.9987 0.0048
Mo 0.5098 0.4992 0.5038
Cl 0.1917 0.4961 0.0035
Cl 0.8440 0.9982 0.5088
O 0.2676 0.9827 0.1998
O 0.2716 0.0140 0.8062
O 0.3382 0.2699 0.4983
O 0.3377 0.7272 0.5072
O 0.6932 0.5074 0.7106
O 0.6956 0.4922 0.2995
O 0.7279 0.1929 0.9834
O 0.7284 0.8057 0.0261

***

Entry 4:
The following is a simulated powder X-ray diffraction pattern of LiCo3O4. It was derived from a DFT-relaxed cell (PBE+U, the Materials Project), using Cu Ka.

The 10 most intense peaks (5 to 70 degrees two-theta), sorted by position:
2θ (°), I_rel
18.0, 57
21.2, 16
35.1, 16
35.3, 8
36.5, 38
36.9, 37
42.4, 100
43.1, 48
61.1, 14
62.0, 69

Crystal structure
Unit cell a=5.1794 b=5.1794 c=2.9942 alpha=90.00 beta=90.00 gamma=108.27
Atoms (fractional coordinates):
Li 0.0000 0.0000 0.0000
Co 0.0000 0.5000 0.5000
Co 0.5000 0.0000 0.5000
Co 0.5000 0.5000 0.0000
O 0.2575 0.7425 0.0000
O 0.2666 0.2666 0.5000
O 0.7334 0.7334 0.5000
O 0.7425 0.2575 0.0000

***

Entry 5:
The following is a simulated powder X-ray diffraction pattern of LiCoPO4. It was derived from a DFT-relaxed cell (PBE+U, the Materials Project), using Cu Ka.

The 10 most intense peaks (5 to 70 degrees two-theta), sorted by position:
2θ (°), I_rel
12.8, 27
20.6, 33
21.8, 100
22.2, 27
25.7, 83
31.7, 85
34.2, 77
39.1, 26
49.2, 38
66.0, 42

Crystal structure
Unit cell a=8.5899 b=8.5899 c=8.5899 alpha=107.85 beta=107.85 gamma=107.85
Atoms (fractional coordinates):
Li 0.0212 0.1913 0.7875
Li 0.1913 0.7875 0.0212
Li 0.3043 0.7014 0.4837
Li 0.4837 0.3043 0.7014
Li 0.7014 0.4837 0.3043
Li 0.7875 0.0212 0.1913
Co 0.1439 0.9679 0.3784
Co 0.3784 0.1439 0.9679
Co 0.4570 0.6783 0.8619
Co 0.6783 0.8619 0.4570
Co 0.8619 0.4570 0.6783
Co 0.9679 0.3784 0.1439
P 0.0385 0.8173 0.6320
P 0.1217 0.3446 0.5271
P 0.3446 0.5271 0.1217
P 0.5271 0.1217 0.3446
P 0.6320 0.0385 0.8173
P 0.8173 0.6320 0.0385
O 0.0128 0.3303 0.6414
O 0.1481 0.8228 0.5175
O 0.1714 0.8915 0.8367
O 0.2233 0.2240 0.5430
O 0.2240 0.5430 0.2233
O 0.2662 0.5444 0.6046
O 0.2744 0.3240 0.9885
O 0.3240 0.9885 0.2744
O 0.3303 0.6414 0.0128
O 0.5175 0.1481 0.8228
O 0.5430 0.2233 0.2240
O 0.5444 0.6046 0.2662
O 0.5591 0.8929 0.6197
O 0.6046 0.2662 0.5444
O 0.6115 0.9397 0.9398
O 0.6197 0.5591 0.8929
O 0.6414 0.0128 0.3303
O 0.8228 0.5175 0.1481
O 0.8367 0.1714 0.8915
O 0.8915 0.8367 0.1714
O 0.8929 0.6197 0.5591
O 0.9398 0.6115 0.9397
O 0.9397 0.9398 0.6115
O 0.9885 0.2744 0.3240